1.
Theoretical powder diffractogram of Ba2ScIn for Cu Kα (λ = 1.5418 Å), from a structure optimized by DFT (PBE).
Neutral-atom scattering factors, no anomalous dispersion.

The 10 most intense peaks (2θ = 5–70°), in order of rising 2θ:
hkl 0 1 1, 2θ 20.6, I 34; hkl 1 1 0, 2θ 28.0, I 100; hkl 1 0 -2, 2θ 28.1, I 83; hkl 0 1 2, 2θ 29.5, I 67; hkl 1 1 -2, 2θ 32.9, I 29; hkl 0 2 0, 2θ 33.9, I 36; hkl 2 0 -1, 2θ 43.7, I 17; hkl 1 2 -2, 2θ 44.6, I 47; hkl 1 1 3, 2θ 51.5, I 19; hkl 2 1 1, 2θ 53.6, I 24

Cell and atoms:
a = 4.143 Å, b = 5.294 Å, c = 7.678 Å
α = 90.00°, β = 105.65°, γ = 90.00°
Sites, in units of the cell vectors:
1 Ba 0.000 0.000 0.000
2 Ba 0.315 0.500 0.627
3 Sc 0.706 0.000 0.409
4 In 0.606 0.500 0.213



2.
Theoretical powder diffractogram of BaSc4In5 for Cu Kα (λ = 1.5418 Å), from a structure optimized by DFT (PBE).
Neutral-atom scattering factors, no anomalous dispersion.

The 10 most intense peaks (2θ = 5–70°), in order of rising 2θ:
hkl 1 0 0, 2θ 24.1, I 19; hkl 1 0 3, 2θ 28.2, I 14; hkl 0 0 6, 2θ 28.9, I 13; hkl 1 0 4, 2θ 31.0, I 23; hkl 1 0 5, 2θ 34.3, I 100; hkl 1 1 0, 2θ 34.4, I 84; hkl 1 0 6, 2θ 38.0, I 29; hkl 1 1 6, 2θ 45.5, I 16; hkl 2 0 0, 2θ 49.4, I 29; hkl 2 1 5, 2θ 61.5, I 34

Cell and atoms:
a = 3.687 Å, b = 3.687 Å, c = 18.555 Å
α = 90.00°, β = 90.00°, γ = 90.00°
Sites, in units of the cell vectors:
1 Ba 0.000 0.000 0.000
2 Sc 0.000 0.000 0.227
3 Sc 0.000 0.000 0.409
4 Sc 0.000 0.000 0.591
5 Sc 0.000 0.000 0.773
6 In 0.500 0.500 0.137
7 In 0.500 0.500 0.318
8 In 0.500 0.500 0.500
9 In 0.500 0.500 0.682
10 In 0.500 0.500 0.863



3.
Theoretical powder diffractogram of Ba2InSe3 for Cu Kα (λ = 1.5418 Å), from a structure optimized by DFT (PBE).
Neutral-atom scattering factors, no anomalous dispersion.

The 10 most intense peaks (2θ = 5–70°), in order of rising 2θ:
hkl 1 0 3, 2θ 25.2, I 44; hkl 1 1 0, 2θ 26.3, I 100; hkl 0 0 6, 2θ 30.3, I 58; hkl 1 1 4, 2θ 33.3, I 34; hkl 0 2 0, 2θ 33.8, I 47; hkl 1 1 6, 2θ 40.6, I 51; hkl 2 0 0, 2θ 41.0, I 27; hkl 0 2 6, 2θ 46.0, I 35; hkl 2 2 0, 2θ 54.2, I 25; hkl 2 2 6, 2θ 63.3, I 26

Cell and atoms:
a = 4.402 Å, b = 5.299 Å, c = 17.699 Å
α = 90.00°, β = 90.00°, γ = 90.00°
Sites, in units of the cell vectors:
1 Ba 0.000 0.000 0.151
2 Ba 0.000 0.000 0.849
3 Ba 0.500 0.500 0.349
4 Ba 0.500 0.500 0.651
5 In 0.000 0.000 0.500
6 In 0.500 0.500 0.000
7 Se 0.000 0.000 0.335
8 Se 0.000 0.000 0.665
9 Se 0.000 0.500 0.500
10 Se 0.500 0.000 0.000
11 Se 0.500 0.500 0.165
12 Se 0.500 0.500 0.835